1.
Calculated powder XRD pattern of Ba2Cd2As3 for Cu Kα X-rays, from a PBE-relaxed structure.
Lines closer than 0.1° are merged.

Crystal structure
abc: 17.4745 4.6291 12.9749
angles: 90.00 126.62 90.00
Space group C2/m (No. 12)
Symmetry-distinct sites (fractional):
Ba1 0.1074 0.0000 0.4519 [4 per cell]
Ba2 0.2313 0.0000 0.8323 [4 per cell]
Cd1 0.0408 0.5000 0.8151 [4 per cell]
Cd2 0.0894 0.0000 0.1517 [4 per cell]
As1 0.0716 0.5000 0.6166 [4 per cell]
As2 0.1159 0.0000 0.9615 [4 per cell]
As3 0.1523 0.5000 0.3000 [4 per cell]

Peak list (10 most intense, 2θ = 15–90°, most intense first)
Position (°2θ)  I/Imax  hkl
33.77  100.0  3 1 -4
38.91  88.9  0 2 0
31.78  88.1  3 1 1
28.50  82.5  3 1 -3
24.73  77.8  3 1 -1
32.85  75.7  6 0 -4
28.93  68.3  1 1 2
40.38  57.4  3 1 -5
51.82  46.8  6 2 -4
25.66  35.9  0 0 3


2.
Calculated powder XRD pattern of BaCdAs2O7 for Cu Kα X-rays, from a PBE-relaxed structure.
Lines closer than 0.1° are merged.

Crystal structure
abc: 5.9235 7.4707 7.9011
angles: 100.58 90.72 97.35
Space group P-1 (No. 2)
Symmetry-distinct sites (fractional):
Ba1 0.2020 0.2752 0.4304 [2 per cell]
Cd1 0.1875 0.1636 0.8969 [2 per cell]
As1 0.2893 0.6692 0.8998 [2 per cell]
As2 0.3134 0.7762 0.3130 [2 per cell]
O1 0.0901 0.8189 0.8907 [2 per cell]
O2 0.0936 0.9062 0.3179 [2 per cell]
O3 0.2151 0.4576 0.7778 [2 per cell]
O4 0.2815 0.6148 0.1129 [2 per cell]
O5 0.2858 0.6453 0.4679 [2 per cell]
O6 0.4230 0.0992 0.6752 [2 per cell]
O7 0.4408 0.2290 0.1239 [2 per cell]

Peak list (10 most intense, 2θ = 15–90°, most intense first)
Position (°2θ)  I/Imax  hkl
28.03  100.0  1 0 2
24.46  90.5  0 2 0
30.44  72.9  2 0 0
27.07  68.8  1 0 -2
30.76  56.2  1 2 -1
27.80  45.4  1 -2 1
31.31  35.2  2 -1 0
28.79  34.1  1 1 -2
41.68  33.6  1 2 2
38.39  32.3  -1 2 2


3.
Calculated powder XRD pattern of Ba10MgAs6Cl2O24 for Cu Kα X-rays, from a PBE-relaxed structure.
Lines closer than 0.1° are merged.

Crystal structure
abc: 8.1199 10.5862 10.9522
angles: 117.74 95.39 90.98
Space group P1 (No. 1)
Symmetry-distinct sites (fractional):
Ba1 0.0000 0.0000 0.0000 [1 per cell]
Ba2 0.0135 0.5394 0.2788 [1 per cell]
Ba3 0.1861 0.9674 0.6376 [1 per cell]
Ba4 0.2404 0.6082 0.9629 [1 per cell]
Ba5 0.3550 0.0425 0.3326 [1 per cell]
Ba6 0.4613 0.5617 0.5613 [1 per cell]
Ba7 0.4963 0.2670 0.0341 [1 per cell]
Ba8 0.7008 0.9760 0.6025 [1 per cell]
Ba9 0.7373 0.5905 0.9391 [1 per cell]
Ba10 0.8952 0.2827 0.5265 [1 per cell]
Mg1 0.6829 0.9353 0.2157 [1 per cell]
As1 0.4446 0.3241 0.7023 [1 per cell]
As2 0.4965 0.8782 0.9247 [1 per cell]
As3 0.5196 0.6469 0.2464 [1 per cell]
As4 0.9660 0.8848 0.3040 [1 per cell]
As5 0.9717 0.6863 0.6667 [1 per cell]
As6 0.9756 0.2491 0.8841 [1 per cell]
Cl1 0.2785 0.3026 0.2873 [1 per cell]
Cl2 0.8131 0.2441 0.2308 [1 per cell]
O1 0.0775 0.0481 0.4238 [1 per cell]
O2 0.1143 0.7877 0.1928 [1 per cell]
O3 0.1474 0.6625 0.5811 [1 per cell]
O4 0.1521 0.1788 0.9246 [1 per cell]
O5 0.2762 0.3870 0.6470 [1 per cell]
O6 0.3437 0.5339 0.1709 [1 per cell]
O7 0.3559 0.9524 0.0438 [1 per cell]
O8 0.4296 0.1404 0.6336 [1 per cell]
O9 0.4682 0.6942 0.8359 [1 per cell]
O10 0.4697 0.4018 0.8825 [1 per cell]
O11 0.4877 0.9509 0.8135 [1 per cell]
O12 0.5099 0.7394 0.4229 [1 per cell]
O13 0.5281 0.7621 0.1707 [1 per cell]
O14 0.6211 0.3902 0.6664 [1 per cell]
O15 0.6670 0.0660 0.4052 [1 per cell]
O16 0.6861 0.5430 0.1893 [1 per cell]
O17 0.6920 0.9033 0.0215 [1 per cell]
O18 0.8048 0.1752 0.9151 [1 per cell]
O19 0.8148 0.5670 0.5550 [1 per cell]
O20 0.9317 0.8652 0.7247 [1 per cell]
O21 0.9498 0.8093 0.4169 [1 per cell]
O22 0.9628 0.1847 0.7068 [1 per cell]
O23 0.9858 0.4340 0.9737 [1 per cell]
O24 0.9953 0.6729 0.8203 [1 per cell]

Peak list (10 most intense, 2θ = 15–90°, most intense first)
Position (°2θ)  I/Imax  hkl
28.16  100.0  1 -3 2
28.67  98.2  0 3 0
28.01  88.3  2 2 -1
26.29  81.2  2 1 -2
27.79  70.0  0 0 3
26.13  66.9  -1 2 1
28.77  63.1  2 1 1
29.11  59.0  0 3 -3
24.47  54.6  2 -1 1
25.91  37.7  -2 1 1


4.
Calculated powder XRD pattern of Ba10MgAs6Cl2O24 for Cu Kα X-rays, from a PBE-relaxed structure.
Lines closer than 0.1° are merged.

Crystal structure
abc: 7.8955 10.7478 10.9288
angles: 118.18 90.62 90.14
Space group P1 (No. 1)
Symmetry-distinct sites (fractional):
Ba1 0.0000 0.0000 0.0000 [1 per cell]
Ba2 0.0014 0.4678 0.7430 [1 per cell]
Ba3 0.2342 0.9968 0.6101 [1 per cell]
Ba4 0.2414 0.3934 0.3437 [1 per cell]
Ba5 0.4899 0.9989 0.2600 [1 per cell]
Ba6 0.5008 0.7301 0.7405 [1 per cell]
Ba7 0.5359 0.5338 0.0396 [1 per cell]
Ba8 0.7464 0.3996 0.3409 [1 per cell]
Ba9 0.7701 0.0916 0.6872 [1 per cell]
Ba10 0.9967 0.7218 0.2362 [1 per cell]
Mg1 0.2413 0.3126 0.8695 [1 per cell]
As1 0.4824 0.1189 0.9701 [1 per cell]
As2 0.5010 0.7468 0.3860 [1 per cell]
As3 0.5030 0.3359 0.6464 [1 per cell]
As4 0.9375 0.3463 0.0300 [1 per cell]
As5 0.9853 0.1221 0.3620 [1 per cell]
As6 0.9908 0.6940 0.5966 [1 per cell]
Cl1 0.2723 0.7519 0.0068 [1 per cell]
Cl2 0.7718 0.7367 0.9812 [1 per cell]
O1 0.0054 0.2810 0.1460 [1 per cell]
O2 0.0054 0.6214 0.4181 [1 per cell]
O3 0.0637 0.2123 0.7431 [1 per cell]
O4 0.1243 0.4527 0.0358 [1 per cell]
O5 0.1641 0.0841 0.2605 [1 per cell]
O6 0.1712 0.6393 0.6485 [1 per cell]
O7 0.3170 0.8105 0.3481 [1 per cell]
O8 0.3185 0.9996 0.8918 [1 per cell]
O9 0.3502 0.4146 0.7741 [1 per cell]
O10 0.4578 0.2450 0.9125 [1 per cell]
O11 0.4795 0.1542 0.5521 [1 per cell]
O12 0.4814 0.2003 0.1492 [1 per cell]
O13 0.4812 0.5672 0.3248 [1 per cell]
O14 0.4937 0.4103 0.5372 [1 per cell]
O15 0.5360 0.8366 0.5631 [1 per cell]
O16 0.6514 0.7817 0.2929 [1 per cell]
O17 0.6677 0.0287 0.9024 [1 per cell]
O18 0.6888 0.3702 0.7412 [1 per cell]
O19 0.8043 0.4867 0.1426 [1 per cell]
O20 0.8087 0.0938 0.2568 [1 per cell]
O21 0.8151 0.6175 0.6275 [1 per cell]
O22 0.9738 0.0151 0.4394 [1 per cell]
O23 0.9785 0.8758 0.6812 [1 per cell]
O24 0.9943 0.3030 0.4713 [1 per cell]

Peak list (10 most intense, 2θ = 15–90°, most intense first)
Position (°2θ)  I/Imax  hkl
27.79  100.0  0 0 3
28.04  88.6  2 -2 1
27.15  52.3  1 2 1
27.52  33.0  -2 1 1
28.81  31.6  0 3 -3
28.26  31.4  0 3 0
27.63  25.3  1 -3 1
22.52  23.4  2 0 0
45.98  22.9  4 0 0
27.87  22.3  2 1 1


5.
Calculated powder XRD pattern of Ba10MgAs6Cl2O24 for Cu Kα X-rays, from a PBE-relaxed structure.
Lines closer than 0.1° are merged.

Crystal structure
abc: 7.7563 10.8283 10.9347
angles: 61.56 88.87 87.38
Space group P-1 (No. 2)
Symmetry-distinct sites (fractional):
Ba1 0.0006 0.3657 0.3226 [2 per cell]
Ba2 0.2380 0.7545 0.2509 [2 per cell]
Ba3 0.2454 0.9943 0.7465 [2 per cell]
Ba4 0.2622 0.2482 0.0064 [2 per cell]
Ba5 0.4928 0.6691 0.6738 [2 per cell]
Mg1 0.0000 0.0000 0.5000 [1 per cell]
As1 0.2411 0.5950 0.0354 [2 per cell]
As2 0.2667 0.3685 0.5938 [2 per cell]
As3 0.2975 0.0127 0.3888 [2 per cell]
Cl1 0.0000 0.0000 0.0000 [1 per cell]
Cl2 0.5000 0.0000 0.0000 [1 per cell]
O1 0.0604 0.6455 0.0992 [2 per cell]
O2 0.0851 0.2691 0.6412 [2 per cell]
O3 0.1038 0.0285 0.2953 [2 per cell]
O4 0.2054 0.8553 0.5620 [2 per cell]
O5 0.2243 0.1295 0.4565 [2 per cell]
O6 0.2302 0.6586 0.8592 [2 per cell]
O7 0.2506 0.4125 0.1240 [2 per cell]
O8 0.2586 0.4736 0.4145 [2 per cell]
O9 0.2726 0.4688 0.6776 [2 per cell]
O10 0.4165 0.6514 0.0870 [2 per cell]
O11 0.4434 0.1229 0.2526 [2 per cell]
O12 0.4450 0.2538 0.6324 [2 per cell]

Peak list (10 most intense, 2θ = 15–90°, most intense first)
Position (°2θ)  I/Imax  hkl
28.11  100.0  0 3 0
27.86  97.1  0 0 3
27.71  93.3  2 2 1
27.17  89.8  1 -1 2
26.80  62.3  1 1 -2
28.52  59.2  -2 1 2
27.30  56.6  1 2 3
28.67  56.5  0 3 3
25.04  53.7  0 3 1
28.40  47.5  2 -1 1


6.
Calculated powder XRD pattern of Ba10MgAs6Cl2O24 for Cu Kα X-rays, from a PBE-relaxed structure.
Lines closer than 0.1° are merged.

Crystal structure
abc: 10.7639 8.3118 10.7741
angles: 90.00 119.94 90.00
Space group Pm (No. 6)
Symmetry-distinct sites (fractional):
Ba1 0.0000 0.0000 0.0000 [1 per cell]
Ba2 0.0081 0.5000 0.7518 [1 per cell]
Ba3 0.0876 0.2494 0.4114 [2 per cell]
Ba4 0.4231 0.3143 0.0790 [2 per cell]
Ba5 0.4982 0.0000 0.7350 [1 per cell]
Ba6 0.5075 0.5000 0.4915 [1 per cell]
Ba7 0.7482 0.5000 0.9913 [1 per cell]
Ba8 0.7628 0.0000 0.4966 [1 per cell]
Mg1 0.4164 0.0000 0.0756 [1 per cell]
As1 0.1166 0.5000 0.1508 [1 per cell]
As2 0.1526 0.0000 0.7749 [1 per cell]
As3 0.3480 0.5000 0.7002 [1 per cell]
As4 0.3857 0.0000 0.3459 [1 per cell]
As5 0.7221 0.0000 0.1125 [1 per cell]
As6 0.7994 0.5000 0.3836 [1 per cell]
Cl1 0.7542 0.2521 0.7445 [2 per cell]
O1 0.0097 0.3301 0.1026 [2 per cell]
O2 0.0803 0.0000 0.5896 [1 per cell]
O3 0.1063 0.1695 0.8376 [2 per cell]
O4 0.1631 0.5000 0.6227 [1 per cell]
O5 0.2204 0.5000 0.0677 [1 per cell]
O6 0.2234 0.5000 0.3355 [1 per cell]
O7 0.2728 0.0000 0.4188 [1 per cell]
O8 0.2856 0.0000 0.1549 [1 per cell]
O9 0.3438 0.0000 0.8666 [1 per cell]
O10 0.3959 0.3299 0.6414 [2 per cell]
O11 0.4313 0.5000 0.8871 [1 per cell]
O12 0.4946 0.1696 0.3926 [2 per cell]
O13 0.6125 0.5000 0.2807 [1 per cell]
O14 0.6274 0.0000 0.2095 [1 per cell]
O15 0.6610 0.1698 0.0036 [2 per cell]
O16 0.8580 0.3297 0.4899 [2 per cell]
O17 0.8762 0.5000 0.2755 [1 per cell]
O18 0.9077 0.0000 0.2270 [1 per cell]

Peak list (10 most intense, 2θ = 15–90°, most intense first)
Position (°2θ)  I/Imax  hkl
27.48  100.0  3 1 -1
27.10  80.1  1 2 1
28.71  58.4  0 0 3
41.45  34.4  2 3 1
39.89  31.1  2 2 2
44.52  27.3  4 0 1
25.26  22.3  1 0 2
21.38  21.7  0 2 0
43.68  20.3  3 1 2
43.57  15.9  0 4 0


7.
Calculated powder XRD pattern of Ba10MgAs6Cl2O24 for Cu Kα X-rays, from a PBE-relaxed structure.
Lines closer than 0.1° are merged.

Crystal structure
abc: 10.8353 7.8400 10.8713
angles: 90.00 115.53 90.00
Space group Pm (No. 6)
Symmetry-distinct sites (fractional):
Ba1 0.0000 0.0000 0.0000 [1 per cell]
Ba2 0.0244 0.5000 0.5320 [1 per cell]
Ba3 0.2899 0.0000 0.5548 [1 per cell]
Ba4 0.3192 0.2495 0.9466 [2 per cell]
Ba5 0.3503 0.5000 0.3723 [1 per cell]
Ba6 0.6921 0.2472 0.6010 [2 per cell]
Ba7 0.7236 0.5000 0.0069 [1 per cell]
Ba8 0.7618 0.0000 0.2620 [1 per cell]
Mg1 0.0749 0.5000 0.0985 [1 per cell]
As1 0.0018 0.5000 0.8459 [1 per cell]
As2 0.3951 0.5000 0.6948 [1 per cell]
As3 0.4372 0.0000 0.3212 [1 per cell]
As4 0.5872 0.5000 0.2362 [1 per cell]
As5 0.6341 0.0000 0.8698 [1 per cell]
As6 0.9831 0.0000 0.6270 [1 per cell]
Cl1 0.0284 0.2862 0.2524 [2 per cell]
O1 0.1017 0.3083 0.9958 [2 per cell]
O2 0.1406 0.5000 0.7997 [1 per cell]
O3 0.1555 0.0000 0.7368 [1 per cell]
O4 0.2927 0.3259 0.6243 [2 per cell]
O5 0.3650 0.0000 0.1469 [1 per cell]
O6 0.3936 0.1745 0.3911 [2 per cell]
O7 0.4100 0.5000 0.1479 [1 per cell]
O8 0.4579 0.5000 0.8701 [1 per cell]
O9 0.5102 0.0000 0.9288 [1 per cell]
O10 0.5307 0.5000 0.6492 [1 per cell]
O11 0.5612 0.0000 0.6929 [1 per cell]
O12 0.6152 0.0000 0.3940 [1 per cell]
O13 0.6169 0.5000 0.4054 [1 per cell]
O14 0.6537 0.3243 0.1900 [2 per cell]
O15 0.7416 0.1760 0.9255 [2 per cell]
O16 0.8698 0.5000 0.6666 [1 per cell]
O17 0.8883 0.0000 0.7219 [1 per cell]
O18 0.9322 0.1729 0.5178 [2 per cell]

Peak list (10 most intense, 2θ = 15–90°, most intense first)
Position (°2θ)  I/Imax  hkl
28.11  100.0  2 2 -1
27.48  77.7  1 2 1
27.91  65.1  2 1 -3
27.28  63.5  0 0 3
27.36  53.8  3 0 0
29.19  40.2  3 0 -3
26.19  36.5  1 1 2
40.52  31.8  4 2 -2
25.44  30.6  2 0 -3
46.32  29.3  0 4 0


8.
Calculated powder XRD pattern of Ba10MgAs6Cl2O24 for Cu Kα X-rays, from a PBE-relaxed structure.
Lines closer than 0.1° are merged.

Crystal structure
abc: 10.7458 7.7862 11.1615
angles: 90.00 116.77 90.00
Space group Pm (No. 6)
Symmetry-distinct sites (fractional):
Ba1 0.0000 0.0000 0.0000 [1 per cell]
Ba2 0.0010 0.5000 0.1867 [1 per cell]
Ba3 0.1138 0.2298 0.7179 [2 per cell]
Ba4 0.4182 0.2477 0.3173 [2 per cell]
Ba5 0.5011 0.0000 0.7267 [1 per cell]
Ba6 0.5072 0.5000 0.9902 [1 per cell]
Ba7 0.7658 0.5000 0.7023 [1 per cell]
Ba8 0.7680 0.0000 0.2688 [1 per cell]
Mg1 0.0331 0.5000 0.4925 [1 per cell]
As1 0.1363 0.0000 0.4189 [1 per cell]
As2 0.1827 0.5000 0.0105 [1 per cell]
As3 0.3670 0.5000 0.5627 [1 per cell]
As4 0.3697 0.0000 0.9787 [1 per cell]
As5 0.6958 0.5000 0.3179 [1 per cell]
As6 0.7993 0.0000 0.6327 [1 per cell]
Cl1 0.7520 0.2474 0.9889 [2 per cell]
O1 0.0309 0.1820 0.3687 [2 per cell]
O2 0.1170 0.3201 0.0658 [2 per cell]
O3 0.1901 0.0000 0.9198 [1 per cell]
O4 0.2241 0.0000 0.5936 [1 per cell]
O5 0.2370 0.5000 0.6175 [1 per cell]
O6 0.2512 0.0000 0.3490 [1 per cell]
O7 0.2797 0.5000 0.3887 [1 per cell]
O8 0.3598 0.5000 0.1333 [1 per cell]
O9 0.4031 0.1776 0.9043 [2 per cell]
O10 0.4508 0.0000 0.1507 [1 per cell]
O11 0.4719 0.3217 0.6162 [2 per cell]
O12 0.6226 0.0000 0.5282 [1 per cell]
O13 0.6277 0.3138 0.2293 [2 per cell]
O14 0.6426 0.5000 0.4429 [1 per cell]
O15 0.8566 0.1734 0.7417 [2 per cell]
O16 0.8634 0.5000 0.3352 [1 per cell]
O17 0.8962 0.0000 0.5439 [1 per cell]
O18 0.9785 0.5000 0.6343 [1 per cell]

Peak list (10 most intense, 2θ = 15–90°, most intense first)
Position (°2θ)  I/Imax  hkl
27.94  100.0  3 0 0
27.67  96.1  1 2 1
28.32  65.7  2 2 -1
26.84  41.9  0 0 3
27.35  38.0  2 1 -3
28.74  33.2  3 0 -3
22.84  31.0  0 2 0
46.66  30.2  0 4 0
26.21  30.1  1 1 2
26.57  27.0  2 1 1